FePO4: theoretical X-ray diffraction stick pattern (copper Kα), based on a PBE+U-relaxed structure.

The 6 most intense peaks (2θ from 15° to 90°), in order of falling intensity:
20.8°, intensity 100
20.9°, intensity 34
34.5°, intensity 18
34.3°, intensity 15
40.4°, intensity 6
29.6°, intensity 4

```
data_FePO4
_chemical_formula_sum 'Fe4 P4 O16'
_cell_length_a 5.220
_cell_length_b 7.405
_cell_length_c 10.394
_cell_angle_alpha 89.92
_cell_angle_beta 89.22
_cell_angle_gamma 89.75
_symmetry_space_group_name_H-M 'P 1'
_symmetry_Int_Tables_number 1
loop_
_symmetry_equiv_pos_as_xyz
'x,y,z'
loop_
_atom_site_label
_atom_site_type_symbol
_atom_site_fract_x
_atom_site_fract_y
_atom_site_fract_z
Fe1 Fe 0.000 0.000 0.000
Fe2 Fe 0.106 0.997 0.492
Fe3 Fe 0.489 0.499 0.796
Fe4 Fe 0.614 0.496 0.296
P1 P 0.121 0.248 0.240
P2 P 0.493 0.749 0.050
P3 P 0.609 0.748 0.547
P4 P 0.990 0.249 0.745
O1 O 0.047 0.193 0.604
O2 O 0.051 0.081 0.322
O3 O 0.052 0.086 0.832
O4 O 0.081 0.204 0.095
O5 O 0.151 0.417 0.779
O6 O 0.206 0.801 0.039
O7 O 0.405 0.296 0.260
O8 O 0.445 0.913 0.507
O9 O 0.547 0.583 0.964
O10 O 0.548 0.696 0.191
O11 O 0.550 0.580 0.464
O12 O 0.552 0.701 0.689
O13 O 0.662 0.912 0.011
O14 O 0.703 0.301 0.759
O15 O 0.894 0.799 0.529
O16 O 0.954 0.413 0.277
```